No. 1
For KSr3Cu4Br12, a PBE-relaxed structure gives the theoretical X-ray powder pattern in this record (Cu Ka).

Largest 10 diffraction maxima, by intensity, 2θ = 10–90°:
Position (°2θ), d_spacing, intensity
20.4, 4.343, 100
29.0, 3.076, 90
19.5, 4.548, 65
23.0, 3.874, 58
39.2, 2.300, 51
49.4, 1.844, 37
39.8, 2.268, 35
23.6, 3.769, 30
43.2, 2.094, 26
33.1, 2.704, 26

Cell and atoms:
```
data_KSr3Cu4Br12
_symmetry_space_group_name_H-M 'R 3 2'
_symmetry_Int_Tables_number 155
_symmetry_space_group_name_Hall 'R 3 2"'
_cell_length_a 15.0975
_cell_length_b 15.0975
_cell_length_c 11.6228
_cell_angle_alpha 90.00
_cell_angle_beta 90.00
_cell_angle_gamma 120.00
loop_
_atom_site_label
_atom_site_fract_x
_atom_site_fract_y
_atom_site_fract_z
K1 0.0000 0.0000 0.0000
Sr1 0.0000 0.5507 0.0000
Cu1 0.0000 0.0000 0.5000
Cu2 0.0000 0.4366 0.5000
Br1 0.0000 0.5981 0.5000
Br2 0.0000 0.8444 0.5000
Br3 0.0329 0.1986 0.1815
```

=====

No. 2
For KSrCuBr5, a PBE-relaxed structure gives the theoretical X-ray powder pattern in this record (Cu Ka).

Largest 10 diffraction maxima, by intensity, 2θ = 10–90°:
Position (°2θ), d_spacing, intensity
21.2, 4.182, 100
26.1, 3.412, 92
25.4, 3.500, 92
23.7, 3.756, 64
35.8, 2.505, 59
22.4, 3.974, 59
17.9, 4.942, 55
38.1, 2.363, 53
30.5, 2.930, 50
39.1, 2.303, 49

Cell and atoms:
```
data_KSrCuBr5
_symmetry_space_group_name_H-M 'C 1 2/c 1'
_symmetry_Int_Tables_number 15
_symmetry_space_group_name_Hall '-C 2yc'
_cell_length_a 9.1451
_cell_length_b 13.1804
_cell_length_c 10.8927
_cell_angle_alpha 90.00
_cell_angle_beta 113.86
_cell_angle_gamma 90.00
loop_
_atom_site_label
_atom_site_fract_x
_atom_site_fract_y
_atom_site_fract_z
K1 0.0000 0.1637 0.2500
Sr1 0.0000 0.5000 0.0000
Cu1 0.0000 0.1721 0.7500
Br1 0.0000 0.4081 0.2500
Br2 0.0932 0.2845 0.6197
Br3 0.1414 0.0516 0.9252
```

=====

No. 3
For K2TbCuBr6, a PBE-relaxed structure gives the theoretical X-ray powder pattern in this record (Cu Ka).

Largest 10 diffraction maxima, by intensity, 2θ = 10–90°:
Position (°2θ), d_spacing, intensity
15.1, 5.882, 100
30.4, 2.941, 60
32.8, 2.728, 47
29.5, 3.032, 44
39.9, 2.262, 37
18.1, 4.908, 36
26.2, 3.401, 35
23.6, 3.774, 31
24.5, 3.626, 29
29.6, 3.017, 26

Cell and atoms:
```
data_K2TbCuBr6
_symmetry_space_group_name_H-M 'P 1 21/c 1'
_symmetry_Int_Tables_number 14
_symmetry_space_group_name_Hall '-P 2ybc'
_cell_length_a 7.9771
_cell_length_b 8.7089
_cell_length_c 12.6211
_cell_angle_alpha 90.00
_cell_angle_beta 128.94
_cell_angle_gamma 90.00
loop_
_atom_site_label
_atom_site_fract_x
_atom_site_fract_y
_atom_site_fract_z
K1 0.2238 0.0900 0.2471
Tb1 0.0000 0.0000 0.5000
Cu1 0.5000 0.0000 0.0000
Br1 0.1160 0.2218 0.9502
Br2 0.2430 0.6639 0.9487
Br3 0.3841 0.0308 0.7810
```

=====

No. 4
For KCu2TcBr8, a PBE-relaxed structure gives the theoretical X-ray powder pattern in this record (Cu Ka).

Largest 10 diffraction maxima, by intensity, 2θ = 10–90°:
Position (°2θ), d_spacing, intensity
13.0, 6.804, 100
28.1, 3.174, 40
29.0, 3.075, 37
20.9, 4.250, 37
16.5, 5.382, 34
32.1, 2.792, 33
39.0, 2.309, 29
48.2, 1.888, 27
28.6, 3.120, 25
29.4, 3.043, 24

Cell and atoms:
```
data_KCu2TcBr8
_symmetry_space_group_name_H-M 'P -1'
_symmetry_Int_Tables_number 2
_symmetry_space_group_name_Hall '-P 1'
_cell_length_a 6.5167
_cell_length_b 7.2158
_cell_length_c 8.8065
_cell_angle_alpha 70.77
_cell_angle_beta 82.24
_cell_angle_gamma 84.70
loop_
_atom_site_label
_atom_site_fract_x
_atom_site_fract_y
_atom_site_fract_z
K1 0.0000 0.0000 0.0000
Cu1 0.4764 0.5220 0.8168
Tc1 0.0000 0.5000 0.5000
Br1 0.1043 0.4899 0.7735
Br2 0.1522 0.8276 0.3698
Br3 0.3440 0.3218 0.4441
Br4 0.4877 0.7676 0.9549
```

=====

No. 5
For KTiCuBr6, a PBE-relaxed structure gives the theoretical X-ray powder pattern in this record (Cu Ka).

Largest 10 diffraction maxima, by intensity, 2θ = 10–90°:
Position (°2θ), d_spacing, intensity
27.3, 3.272, 100
28.8, 3.102, 83
12.4, 7.135, 75
39.6, 2.278, 52
34.4, 2.607, 51
20.7, 4.288, 27
46.8, 1.942, 27
40.5, 2.228, 26
18.6, 4.778, 25
15.2, 5.826, 20

Cell and atoms:
```
data_KTiCuBr6
_symmetry_space_group_name_H-M 'C 1 2 1'
_symmetry_Int_Tables_number 5
_symmetry_space_group_name_Hall 'C 2y'
_cell_length_a 6.6083
_cell_length_b 12.6958
_cell_length_c 7.1902
_cell_angle_alpha 90.00
_cell_angle_beta 97.12
_cell_angle_gamma 90.00
loop_
_atom_site_label
_atom_site_fract_x
_atom_site_fract_y
_atom_site_fract_z
K1 0.0000 0.0000 0.0000
Ti1 0.0000 0.6855 0.5000
Cu1 0.0000 0.4029 0.5000
Br1 0.1638 0.5444 0.3197
Br2 0.2001 0.8285 0.3245
Br3 0.2215 0.2061 0.2401
```

=====

No. 6
For KTlCuBr6, a PBE-relaxed structure gives the theoretical X-ray powder pattern in this record (Cu Ka).

Largest 10 diffraction maxima, by intensity, 2θ = 10–90°:
Position (°2θ), d_spacing, intensity
12.3, 7.210, 100
29.7, 3.012, 79
24.8, 3.591, 70
13.9, 6.352, 46
19.8, 4.484, 45
31.6, 2.829, 40
17.5, 5.073, 32
44.7, 2.027, 30
36.6, 2.455, 29
37.4, 2.407, 29

Cell and atoms:
```
data_KTlCuBr6
_symmetry_space_group_name_H-M 'P 1'
_symmetry_Int_Tables_number 1
_symmetry_space_group_name_Hall 'P 1'
_cell_length_a 6.8956
_cell_length_b 6.9104
_cell_length_c 7.2839
_cell_angle_alpha 94.46
_cell_angle_beta 94.64
_cell_angle_gamma 112.09
loop_
_atom_site_label
_atom_site_fract_x
_atom_site_fract_y
_atom_site_fract_z
K1 0.0000 0.0000 0.0000
Tl1 0.6532 0.3421 0.4990
Cu1 0.2993 0.6887 0.5060
Br1 0.3401 0.4290 0.2804
Br2 0.3418 0.0217 0.6833
Br3 0.5685 0.6513 0.7255
Br4 0.6045 0.0286 0.2382
Br5 0.9743 0.6618 0.3216
Br6 0.9753 0.3930 0.7548
```

=====

No. 7
For KTlCu2Br4, a PBE-relaxed structure gives the theoretical X-ray powder pattern in this record (Cu Ka).

Largest 10 diffraction maxima, by intensity, 2θ = 10–90°:
Position (°2θ), d_spacing, intensity
26.6, 3.348, 100
15.4, 5.752, 90
31.8, 2.811, 82
27.3, 3.270, 82
31.1, 2.877, 80
48.5, 1.879, 32
42.0, 2.153, 28
34.2, 2.623, 28
53.0, 1.727, 26
46.5, 1.954, 26

Cell and atoms:
```
data_KTlCu2Br4
_symmetry_space_group_name_H-M 'I 2 2 2'
_symmetry_Int_Tables_number 23
_symmetry_space_group_name_Hall 'I 2 2'
_cell_length_a 7.9469
_cell_length_b 7.9526
_cell_length_c 8.3371
_cell_angle_alpha 90.00
_cell_angle_beta 90.00
_cell_angle_gamma 90.00
loop_
_atom_site_label
_atom_site_fract_x
_atom_site_fract_y
_atom_site_fract_z
K1 0.0000 0.0000 0.0000
Tl1 0.0000 0.0000 0.5000
Cu1 0.0000 0.5000 0.3367
Br1 0.2015 0.3017 0.7056
```

=====

No. 8
For KY2CuBr8, a PBE-relaxed structure gives the theoretical X-ray powder pattern in this record (Cu Ka).

Largest 10 diffraction maxima, by intensity, 2θ = 10–90°:
Position (°2θ), d_spacing, intensity
12.6, 6.998, 100
27.2, 3.275, 67
28.3, 3.159, 55
31.4, 2.846, 41
12.0, 7.369, 33
22.8, 3.902, 21
42.3, 2.136, 20
36.4, 2.467, 17
43.0, 2.102, 15
28.4, 3.139, 14

Cell and atoms:
```
data_KY2CuBr8
_symmetry_space_group_name_H-M 'P -1'
_symmetry_Int_Tables_number 2
_symmetry_space_group_name_Hall '-P 1'
_cell_length_a 7.6452
_cell_length_b 8.1496
_cell_length_c 8.4559
_cell_angle_alpha 80.64
_cell_angle_beta 87.30
_cell_angle_gamma 66.28
loop_
_atom_site_label
_atom_site_fract_x
_atom_site_fract_y
_atom_site_fract_z
K1 0.0000 0.0000 0.0000
Y1 0.0324 0.4766 0.2574
Cu1 0.0000 0.0000 0.5000
Br1 0.1666 0.7664 0.6960
Br2 0.2242 0.2865 0.9992
Br3 0.2247 0.2776 0.5517
Br4 0.2728 0.6451 0.2268
```

=====

No. 9
For LaTa2CuBrO7, a PBE-relaxed structure gives the theoretical X-ray powder pattern in this record (Cu Ka).

Largest 10 diffraction maxima, by intensity, 2θ = 10–90°:
Position (°2θ), d_spacing, intensity
32.2, 2.777, 100
27.3, 3.268, 71
22.6, 3.928, 45
46.2, 1.964, 39
57.5, 1.603, 32
54.5, 1.683, 22
67.5, 1.388, 21
44.9, 2.021, 20
52.1, 1.756, 15
76.8, 1.242, 14

Cell and atoms:
```
data_LaTa2CuBrO7
_symmetry_space_group_name_H-M 'P 4/m m m'
_symmetry_Int_Tables_number 123
_symmetry_space_group_name_Hall '-P 4 2'
_cell_length_a 3.9267
_cell_length_b 3.9267
_cell_length_c 11.7863
_cell_angle_alpha 90.00
_cell_angle_beta 90.00
_cell_angle_gamma 90.00
loop_
_atom_site_label
_atom_site_fract_x
_atom_site_fract_y
_atom_site_fract_z
La1 0.0000 0.0000 0.0000
Ta1 0.5000 0.5000 0.1900
Cu1 0.5000 0.5000 0.5000
Br1 0.0000 0.0000 0.5000
O1 0.0000 0.5000 0.1543
O2 0.5000 0.5000 0.0000
O3 0.5000 0.5000 0.3429
```

=====

No. 10
For RbLaCu2Br8, a PBE-relaxed structure gives the theoretical X-ray powder pattern in this record (Cu Ka).

Largest 10 diffraction maxima, by intensity, 2θ = 10–90°:
Position (°2θ), d_spacing, intensity
21.2, 4.196, 100
29.1, 3.072, 79
28.9, 3.086, 78
42.4, 2.132, 72
34.2, 2.619, 45
33.3, 2.691, 36
38.8, 2.324, 34
53.3, 1.719, 28
54.1, 1.694, 24
36.3, 2.476, 23

Cell and atoms:
```
data_RbLaCu2Br8
_symmetry_space_group_name_H-M 'I -4'
_symmetry_Int_Tables_number 82
_symmetry_space_group_name_Hall 'I -4'
_cell_length_a 7.0028
_cell_length_b 7.0028
_cell_length_c 15.7870
_cell_angle_alpha 90.00
_cell_angle_beta 90.00
_cell_angle_gamma 90.00
loop_
_atom_site_label
_atom_site_fract_x
_atom_site_fract_y
_atom_site_fract_z
Rb1 0.0000 0.0000 0.0000
La1 0.0000 0.5000 0.7500
Cu1 0.0000 0.0000 0.5000
Cu2 0.0000 0.5000 0.2500
Br1 0.1202 0.2639 0.5856
Br2 0.1609 0.7711 0.1882
```

=====

No. 11
For La6Cu2RuBr3, a PBE-relaxed structure gives the theoretical X-ray powder pattern in this record (Cu Ka).

Largest 10 diffraction maxima, by intensity, 2θ = 10–90°:
Position (°2θ), d_spacing, intensity
28.8, 3.102, 100
29.0, 3.082, 49
43.4, 2.086, 35
39.1, 2.302, 33
42.8, 2.111, 19
52.5, 1.742, 18
39.4, 2.285, 16
11.2, 7.910, 13
59.6, 1.551, 9
25.6, 3.484, 9

Cell and atoms:
```
data_La6Cu2RuBr3
_symmetry_space_group_name_H-M 'C 1 2/m 1'
_symmetry_Int_Tables_number 12
_symmetry_space_group_name_Hall '-C 2y'
_cell_length_a 19.8870
_cell_length_b 4.2230
_cell_length_c 9.2381
_cell_angle_alpha 90.00
_cell_angle_beta 111.60
_cell_angle_gamma 90.00
loop_
_atom_site_label
_atom_site_fract_x
_atom_site_fract_y
_atom_site_fract_z
La1 0.0085 0.0000 0.2153
La2 0.1509 0.5000 0.1085
La3 0.1717 0.5000 0.5700
Cu1 0.1730 0.0000 0.3513
Ru1 0.0000 0.5000 0.0000
Br1 0.0000 0.5000 0.5000
Br2 0.1680 0.0000 0.8371
```

=====

No. 12
For Li2CuBr6, a PBE-relaxed structure gives the theoretical X-ray powder pattern in this record (Cu Ka).

Largest 10 diffraction maxima, by intensity, 2θ = 10–90°:
Position (°2θ), d_spacing, intensity
25.4, 3.505, 100
33.8, 2.650, 49
42.3, 2.136, 27
26.8, 3.321, 24
32.1, 2.788, 20
43.2, 2.092, 18
47.9, 1.898, 16
52.2, 1.753, 13
46.5, 1.951, 13
28.6, 3.119, 11

Cell and atoms:
```
data_Li2CuBr6
_symmetry_space_group_name_H-M 'P 1 21/c 1'
_symmetry_Int_Tables_number 14
_symmetry_space_group_name_Hall '-P 2ybc'
_cell_length_a 8.2652
_cell_length_b 6.6428
_cell_length_c 11.9357
_cell_angle_alpha 90.00
_cell_angle_beta 130.58
_cell_angle_gamma 90.00
loop_
_atom_site_label
_atom_site_fract_x
_atom_site_fract_y
_atom_site_fract_z
Li1 0.0790 0.0636 0.1745
Cu1 0.5000 0.0000 0.0000
Br1 0.1617 0.2381 0.0243
Br2 0.1812 0.6774 0.2822
Br3 0.4814 0.2241 0.3698
```